NaAlS2: calculated powder diffractogram (copper Kα), based on a PBE-relaxed structure.
No peak broadening, texture or thermal motion is included.

Main lines, sorted by position (2θ from 10° to 90°):
- hkl 2 2 -2, 26.53 deg, intensity 83
- hkl 2 2 -3, 29.77 deg, intensity 47
- hkl 1 3 -3, 33.20 deg, intensity 22
- hkl 2 2 3, 34.11 deg, intensity 100
- hkl 3 1 -4, 35.26 deg, intensity 24
- hkl 4 0 0, 35.64 deg, intensity 32
- hkl 1 3 -4, 37.49 deg, intensity 21
- hkl 4 0 -6, 49.26 deg, intensity 48
- hkl 4 4 -1, 50.30 deg, intensity 52
- hkl 2 6 -4, 62.18 deg, intensity 31

Crystal structure
abc: 10.259 10.264 13.587
angles: 90.00 100.78 90.00
Space group C2/c (No. 15)
Asymmetric unit:
Na1 0.030 0.183 0.380 x8
Na2 0.219 0.437 0.123 x8
Al1 0.099 0.190 0.651 x8
Al2 0.148 0.437 0.848 x8
S1 0.000 0.059 0.750 x4
S2 0.000 0.431 0.250 x4
S3 0.050 0.313 0.952 x8
S4 0.200 0.062 0.552 x8
S5 0.245 0.186 0.250 x8